Structure and theoretical PXRD pattern of NaNd2H12Rh3 (the GGA-PBE geometry in Alexandria; Cu Kα, 1.54184 Å).

Principal peaks in the range 15 to 90 degrees two-theta, in order of rising 2θ:
two_theta	I_rel	hkl
28.09	24	1 1 0
29.33	67	1 0 4
33.14	100	0 2 1
33.68	62	1 1 3
34.73	49	0 1 5
34.85	47	2 0 2
50.49	29	2 1 4
54.11	28	1 2 5
58.08	30	2 2 0
60.83	23	2 0 8

Crystal structure
```
data_NaNd2H12Rh3
_symmetry_space_group_name_H-M 'R -3 m'
_symmetry_Int_Tables_number 166
_symmetry_space_group_name_Hall '-R 3 2"'
_cell_length_a 6.3524
_cell_length_b 6.3524
_cell_length_c 14.6285
_cell_angle_alpha 90.00
_cell_angle_beta 90.00
_cell_angle_gamma 120.00
loop_
_atom_site_label
_atom_site_type_symbol
_atom_site_fract_x
_atom_site_fract_y
_atom_site_fract_z
_atom_site_occupancy
Na1 Na 0.0000 0.0000 0.0000 1
Nd1 Nd 0.0000 0.0000 0.3854 1
H1 H 0.0315 0.5158 0.3862 1
H2 H 0.0388 0.5194 0.8199 1
Rh1 Rh 0.0000 0.5000 0.5000 1
```


Structure and theoretical PXRD pattern of NaNi3H6 (the GGA-PBE geometry in Alexandria; Cu Kα, 1.54184 Å).

Principal peaks in the range 15 to 90 degrees two-theta, in order of rising 2θ:
two_theta	I_rel	hkl
22.12	17	0 0 3
27.15	31	0 1 2
37.65	72	1 0 4
39.86	100	1 1 0
44.10	19	0 1 5
55.99	22	0 2 4
61.75	20	1 1 6
70.91	20	2 1 4
72.36	16	3 0 0
83.96	17	2 -1 9

Crystal structure
```
data_NaNi3H6
_symmetry_space_group_name_H-M 'R 3'
_symmetry_Int_Tables_number 146
_symmetry_space_group_name_Hall 'R 3'
_cell_length_a 4.5236
_cell_length_b 4.5236
_cell_length_c 12.0573
_cell_angle_alpha 90.00
_cell_angle_beta 90.00
_cell_angle_gamma 120.00
loop_
_atom_site_label
_atom_site_type_symbol
_atom_site_fract_x
_atom_site_fract_y
_atom_site_fract_z
_atom_site_occupancy
Na1 Na 0.0000 0.0000 0.0000 1
Ni1 Ni 0.0000 0.0000 0.2295 1
Ni2 Ni 0.0000 0.0000 0.5497 1
Ni3 Ni 0.0000 0.0000 0.7589 1
H1 H 0.0176 0.3347 0.8256 1
H2 H 0.1589 0.8023 0.3147 1
```


Structure and theoretical PXRD pattern of NaNi4H8 (the GGA-PBE geometry in Alexandria; Cu Kα, 1.54184 Å).

Principal peaks in the range 15 to 90 degrees two-theta, in order of rising 2θ:
two_theta	I_rel	hkl
16.17	100	0 0 1
32.66	23	0 0 2
40.68	37	2 2 -1
43.26	7	4 0 -1
43.66	13	2 2 0
44.42	14	2 2 -2
44.79	6	4 0 -3
51.76	6	4 0 0
52.45	11	2 2 1
53.78	11	2 2 -3

Crystal structure
```
data_NaNi4H8
_symmetry_space_group_name_H-M 'C 1 2/m 1'
_symmetry_Int_Tables_number 12
_symmetry_space_group_name_Hall '-C 2y'
_cell_length_a 8.884
_cell_length_b 5.121
_cell_length_c 6.896
_cell_angle_alpha 90.00
_cell_angle_beta 127.33
_cell_angle_gamma 90.00
loop_
_atom_site_label
_atom_site_type_symbol
_atom_site_fract_x
_atom_site_fract_y
_atom_site_fract_z
_atom_site_occupancy
Na1 Na 0.000 0.000 0.000 1
Ni1 Ni 0.000 0.252 0.500 1
Ni2 Ni 0.243 0.500 0.487 1
H1 H 0.007 0.500 0.341 1
H2 H 0.017 0.000 0.358 1
H3 H 0.237 0.254 0.651 1
```